Entry 1:
Calculated powder X-ray diffraction pattern
Compound: La3Tb2ErS6
Radiation: λ = 1.5418 Å (Cu Kα)
Structure: a structure optimized by DFT (GGA-PBE)
Kinematic intensities with the Lorentz-polarization factor, no thermal factor.

Peak list (6 most intense, 10° ≤ 2θ ≤ 90°, sorted by position)
index, two_theta, intensity
0 0 2, 26.7, 20
2 0 0, 27.2, 57
1 3 1, 31.4, 100
2 0 2, 44.7, 36
0 6 0, 45.3, 36
0 6 2, 53.4, 13

Crystal structure
Lattice parameters (Å, degrees): 6.9227 12.0192 7.0622 90.00 109.16 90.00
Space group C2/m (No. 12)
Unique sites:
1 La 0.0000 0.0000 0.0000 [2 per cell]
2 La 0.0000 0.3319 0.0000 [4 per cell]
3 Tb 0.0000 0.1666 0.5000 [4 per cell]
4 Er 0.0000 0.5000 0.5000 [2 per cell]
5 S 0.2410 0.3352 0.7290 [8 per cell]
6 S 0.2471 0.0000 0.7304 [4 per cell]

---

Entry 2:
Calculated powder X-ray diffraction pattern
Compound: La4ErTm3S8
Radiation: λ = 1.5418 Å (Cu Kα)
Structure: a structure optimized by DFT (GGA-PBE)
Kinematic intensities with the Lorentz-polarization factor, no thermal factor.

Peak list (6 most intense, 10° ≤ 2θ ≤ 90°, sorted by position)
index, two_theta, intensity
0 0 6, 26.5, 23
2 0 2, 27.6, 58
0 2 4, 31.6, 100
2 0 8, 44.7, 37
2 2 0, 46.0, 35
2 2 6, 53.9, 20

Crystal structure
Lattice parameters (Å, degrees): 7.8932 7.8932 20.1583 90.00 90.00 120.00
Space group R-3m (No. 166, hexagonal axes)
Unique sites:
1 La 0.0000 0.0000 0.0000 [3 per cell]
2 La 0.0000 0.5000 0.0000 [9 per cell]
3 Er 0.0000 0.0000 0.5000 [3 per cell]
4 Tm 0.0000 0.5000 0.5000 [9 per cell]
5 S 0.0000 0.0000 0.2409 [6 per cell]
6 S 0.0011 0.5005 0.7589 [18 per cell]

---

Entry 3:
Calculated powder X-ray diffraction pattern
Compound: La5Er3Sb8
Radiation: λ = 1.5418 Å (Cu Kα)
Structure: a structure optimized by DFT (GGA-PBE)
Kinematic intensities with the Lorentz-polarization factor, no thermal factor.

Peak list (6 most intense, 10° ≤ 2θ ≤ 90°, sorted by position)
index, two_theta, intensity
0 2 4, 27.9, 100
2 2 0, 39.8, 76
4 0 4, 49.3, 21
2 4 4, 65.1, 18
2 2 12, 65.2, 17
6 0 0, 72.3, 19

Crystal structure
Lattice parameters (Å, degrees): 9.0592 9.0592 22.1334 90.00 90.00 120.00
Space group R-3m (No. 166, hexagonal axes)
Unique sites:
1 La 0.0000 0.0000 0.0000 [3 per cell]
2 La 0.0000 0.0000 0.5000 [3 per cell]
3 La 0.0000 0.5000 0.0000 [9 per cell]
4 Er 0.0000 0.5000 0.5000 [9 per cell]
5 Sb 0.0000 0.0000 0.2449 [6 per cell]
6 Sb 0.0071 0.5035 0.7535 [18 per cell]

---

Entry 4:
Calculated powder X-ray diffraction pattern
Compound: La3ErSc2
Radiation: λ = 1.5418 Å (Cu Kα)
Structure: a structure optimized by DFT (GGA-PBE)
Kinematic intensities with the Lorentz-polarization factor, no thermal factor.

Peak list (6 most intense, 10° ≤ 2θ ≤ 90°, sorted by position)
index, two_theta, intensity
0 2 1, 24.0, 88
4 0 0, 25.1, 52
3 1 1, 26.8, 50
1 3 1, 31.4, 78
0 0 2, 34.1, 57
4 2 1, 35.0, 100

Crystal structure
Lattice parameters (Å, degrees): 14.1638 10.4752 5.2531 90.00 90.00 90.00
Space group Cmcm (No. 63)
Unique sites:
1 La 0.0000 0.0667 0.2500 [4 per cell]
2 La 0.2225 0.1357 0.2500 [8 per cell]
3 Er 0.0000 0.2889 0.7500 [4 per cell]
4 Sc 0.1083 0.4192 0.2500 [8 per cell]